# Cr2CuTeO
Computed powder diffraction line list, a wavelength of 1.5418 Å. Input: the GGA+U geometry in Alexandria.
Peak positions follow from Bragg's law for the DFT cell and can differ from measured ones.

Largest 10 diffraction maxima, low angle first, 5 to 70 degrees two-theta:
| hkl | d/Å | Position (°2θ) | I (rel.) |
| --- | --- | --- | --- |
| 1 0 0 | 5.012 | 17.70 | 100 |
| 1 1 1 | 2.818 | 31.76 | 50 |
| 2 0 0 | 2.506 | 35.83 | 56 |
| 0 0 2 | 2.323 | 38.77 | 22 |
| 2 1 0 | 2.241 | 40.24 | 25 |
| 1 0 2 | 2.108 | 42.91 | 21 |
| 2 2 0 | 1.772 | 51.58 | 19 |
| 2 0 2 | 1.704 | 53.81 | 32 |
| 2 1 2 | 1.613 | 57.10 | 18 |
| 2 2 2 | 1.409 | 66.35 | 16 |

Cell and atoms:
Cell: 5.0118 5.0118 4.6457 Å, 90.00 90.00 90.00°
Positions (direct):
Cr 0.0000 0.5000 0.0000
Cr 0.5000 0.0000 0.0000
Cu 0.0000 0.0000 0.0000
Te 0.0000 0.0000 0.5000
O 0.5000 0.5000 0.5000